This entry pairs a crystal structure of SrPmCrN3 with its simulated powder XRD pattern. Radiation: copper Kα. Structure: a crystal structure in Alexandria, relaxed with PBE.

Peak list (8 most intense, 10° ≤ 2θ ≤ 80°, by angle)
2θ 12.61, I = 31
2θ 31.60, I = 76
2θ 32.35, I = 84
2θ 34.06, I = 100
2θ 42.59, I = 21
2θ 44.67, I = 34
2θ 47.87, I = 23
2θ 58.96, I = 30

Structure:
a = 6.887 Å, b = 6.887 Å, c = 7.300 Å
α = 105.22°, β = 105.22°, γ = 32.04°
Atoms (fractional coordinates):
Sr 0.142 0.142 0.075
Sr 0.858 0.858 0.925
Pm 0.153 0.153 0.572
Pm 0.847 0.847 0.428
Cr 0.496 0.496 0.287
Cr 0.504 0.504 0.713
N 0.003 0.003 0.284
N 0.345 0.345 0.657
N 0.356 0.356 0.188
N 0.644 0.644 0.812
N 0.655 0.655 0.343
N 0.997 0.997 0.716